Entry 1:
Structure and computed powder diffraction line list of Na (a GGA-PBE-relaxed structure; Cu Kα X-rays).
Lines closer than 0.1° are merged.

Unit cell a=5.2535 b=5.2535 c=5.2535 alpha=90.00 beta=90.00 gamma=90.00
Space group Fm-3m (No. 225)
Unique sites:
Na  0.0000  0.0000  0.0000

Top 5 peaks for 2θ from 5° to 70°, low angle first:
- 3.033 Å, intensity 100
- 2.627 Å, intensity 50
- 1.857 Å, intensity 33
- 1.584 Å, intensity 38
- 1.517 Å, intensity 11


Entry 2:
Structure and computed powder diffraction line list of Na (a GGA-PBE-relaxed structure; Cu Kα X-rays).
Lines closer than 0.1° are merged.

Unit cell a=3.7299 b=3.7299 c=11.9648 alpha=90.00 beta=90.00 gamma=120.00
Space group P6_3/mmc (No. 194)
Unique sites:
Na  0.0000  0.0000  0.0000
Na  0.3333  0.6667  0.2500

Top 8 peaks for 2θ from 5° to 70°, low angle first:
- 3.119 Å, intensity 43
- 2.991 Å, intensity 34
- 2.842 Å, intensity 100
- 2.510 Å, intensity 23
- 1.865 Å, intensity 24
- 1.697 Å, intensity 19
- 1.583 Å, intensity 27
- 1.559 Å, intensity 14


Entry 3:
Structure and computed powder diffraction line list of Na (a GGA-PBE-relaxed structure; Cu Kα X-rays).
Lines closer than 0.1° are merged.

Unit cell a=6.7420 b=6.7420 c=6.7420 alpha=90.00 beta=90.00 gamma=90.00
Space group Pm-3n (No. 223)
Unique sites:
Na  0.0000  0.0000  0.0000
Na  0.0000  0.2500  0.5000

Top 8 peaks for 2θ from 5° to 70°, low angle first:
- 3.371 Å, intensity 34
- 3.015 Å, intensity 100
- 2.752 Å, intensity 78
- 1.870 Å, intensity 23
- 1.802 Å, intensity 41
- 1.685 Å, intensity 16
- 1.508 Å, intensity 11
- 1.471 Å, intensity 19


Entry 4:
Structure and computed powder diffraction line list of Na (a GGA-PBE-relaxed structure; Cu Kα X-rays).
Lines closer than 0.1° are merged.

Unit cell a=3.7594 b=3.7594 c=6.0650 alpha=90.00 beta=90.00 gamma=120.00
Space group P6_3/mmc (No. 194)
Unique sites:
Na  0.3333  0.6667  0.2500

Top 8 peaks for 2θ from 5° to 70°, low angle first:
- 3.256 Å, intensity 23
- 3.032 Å, intensity 26
- 2.869 Å, intensity 100
- 2.219 Å, intensity 16
- 1.880 Å, intensity 18
- 1.717 Å, intensity 20
- 1.598 Å, intensity 20
- 1.572 Å, intensity 14


Entry 5:
Structure and computed powder diffraction line list of Na (a GGA-PBE-relaxed structure; Cu Kα X-rays).
Lines closer than 0.1° are merged.

Unit cell a=3.7565 b=3.7565 c=27.0191 alpha=90.00 beta=90.00 gamma=120.00
Space group R-3m (No. 166, hexagonal axes)
Unique sites:
Na  0.0000  0.0000  0.0000
Na  0.0000  0.0000  0.2222

Top 8 peaks for 2θ from 5° to 70°, low angle first:
- 3.230 Å, intensity 37
- 3.002 Å, intensity 50
- 2.931 Å, intensity 100
- 2.787 Å, intensity 87
- 1.878 Å, intensity 36
- 1.751 Å, intensity 20
- 1.660 Å, intensity 16
- 1.592 Å, intensity 40


Entry 6:
Structure and computed powder diffraction line list of Na (a GGA-PBE-relaxed structure; Cu Kα X-rays).
Lines closer than 0.1° are merged.

Unit cell a=9.1028 b=9.1028 c=9.1028 alpha=90.00 beta=90.00 gamma=90.00
Space group P4_132 (No. 213)
Unique sites:
Na  0.0479  0.1250  0.7979
Na  0.0635  0.9365  0.4365

Top 8 peaks for 2θ from 5° to 70°, low angle first:
- 3.034 Å, intensity 100
- 2.879 Å, intensity 59
- 2.745 Å, intensity 27
- 2.433 Å, intensity 9
- 2.146 Å, intensity 6
- 1.785 Å, intensity 30
- 1.690 Å, intensity 24
- 1.517 Å, intensity 9


Entry 7:
Structure and computed powder diffraction line list of Na (a GGA-PBE-relaxed structure; Cu Kα X-rays).
Lines closer than 0.1° are merged.

Unit cell a=8.0972 b=4.5287 c=8.6823 alpha=90.00 beta=90.00 gamma=90.00
Space group Pnma (No. 62)
Unique sites:
Na  0.0210  0.2500  0.1661
Na  0.1561  0.2500  0.5798

Top 8 peaks for 2θ from 5° to 70°, low angle first:
- 3.826 Å, intensity 38
- 3.597 Å, intensity 43
- 3.018 Å, intensity 43
- 2.923 Å, intensity 100
- 2.851 Å, intensity 55
- 2.725 Å, intensity 25
- 2.577 Å, intensity 35
- 2.264 Å, intensity 27


Entry 8:
Structure and computed powder diffraction line list of Na (a GGA-PBE-relaxed structure; Cu Kα X-rays).
Lines closer than 0.1° are merged.

Unit cell a=3.6718 b=3.6718 c=5.4967 alpha=90.00 beta=90.00 gamma=90.00
Space group I4/mmm (No. 139)
Unique sites:
Na  0.0000  0.0000  0.0000

Top 8 peaks for 2θ from 5° to 70°, low angle first:
- 3.053 Å, intensity 100
- 2.748 Å, intensity 19
- 2.596 Å, intensity 32
- 1.887 Å, intensity 23
- 1.836 Å, intensity 11
- 1.639 Å, intensity 14
- 1.573 Å, intensity 24
- 1.527 Å, intensity 11